1.
Calculated powder diffraction line list
Compound: NaYBr3
Radiation: CuKα
Structure: a crystal structure in Alexandria, relaxed with PBE
No peak broadening, texture or thermal motion is included.

Cell: 7.8594 7.8594 6.6946 Å, 90.00 90.00 120.00°
Space group P6_3/mmc (No. 194)
Symmetry-distinct sites (fractional):
Na 0.3333 0.6667 0.2500 (multiplicity 2)
Y 0.0000 0.0000 0.0000 (multiplicity 2)
Br 0.1713 0.3427 0.7500 (multiplicity 6)

Largest 10 diffraction maxima, sorted by position, 10° ≤ 2θ ≤ 90°:
| two_theta | I/Imax | (hkl) |
| --- | --- | --- |
| 13.01 | 80 | 1 0 0 |
| 18.59 | 17 | 1 0 1 |
| 29.44 | 100 | 2 0 1 |
| 34.88 | 21 | 2 1 0 |
| 35.22 | 24 | 1 1 2 |
| 37.69 | 47 | 2 0 2 |
| 46.20 | 33 | 2 2 0 |
| 48.80 | 24 | 2 0 3 |
| 55.74 | 15 | 4 0 1 |
| 74.47 | 15 | 2 2 4 |

---

2.
Calculated powder diffraction line list
Compound: Rb3Ac3ZrS8
Radiation: CuKα
Structure: a crystal structure in Alexandria, relaxed with PBE
No peak broadening, texture or thermal motion is included.

Cell: 8.6077 8.6077 23.5015 Å, 90.00 90.00 120.00°
Space group R-3m (No. 166, hexagonal axes)
Symmetry-distinct sites (fractional):
Rb 0.0000 0.5000 0.0000 (multiplicity 9)
Ac 0.0000 0.5000 0.5000 (multiplicity 9)
Zr 0.0000 0.0000 0.5000 (multiplicity 3)
S 0.0000 0.0000 0.2354 (multiplicity 6)
S 0.0368 0.5184 0.2284 (multiplicity 18)

Largest 10 diffraction maxima, sorted by position, 10° ≤ 2θ ≤ 90°:
| two_theta | I/Imax | (hkl) |
| --- | --- | --- |
| 11.30 | 63 | 0 0 3 |
| 22.70 | 24 | 0 0 6 |
| 24.18 | 20 | 0 2 1 |
| 25.06 | 50 | 2 0 2 |
| 28.36 | 100 | 0 2 4 |
| 36.00 | 16 | 0 2 7 |
| 39.04 | 36 | 2 0 8 |
| 41.98 | 35 | 2 2 0 |
| 48.25 | 22 | 2 2 6 |
| 51.44 | 18 | 4 0 4 |

---

3.
Calculated powder diffraction line list
Compound: Ho2Pd4Pt
Radiation: CuKα
Structure: a crystal structure in Alexandria, relaxed with PBE
No peak broadening, texture or thermal motion is included.

Cell: 10.9904 5.3896 9.1958 Å, 90.00 90.00 90.00°
Space group Cmce (No. 64)
Symmetry-distinct sites (fractional):
Ho 0.1450 0.0000 0.0000 (multiplicity 8)
Pd 0.0000 0.2420 0.2478 (multiplicity 8)
Pd 0.2500 0.2463 0.7500 (multiplicity 8)
Pt 0.0000 0.0000 0.5000 (multiplicity 4)

Largest 10 diffraction maxima, sorted by position, 10° ≤ 2θ ≤ 90°:
| two_theta | I/Imax | (hkl) |
| --- | --- | --- |
| 31.08 | 96 | 3 1 1 |
| 38.16 | 32 | 4 0 2 |
| 38.73 | 100 | 0 2 2 |
| 39.19 | 49 | 0 0 4 |
| 41.93 | 43 | 3 1 3 |
| 47.24 | 17 | 4 2 0 |
| 58.06 | 17 | 3 3 1 |
| 58.73 | 16 | 3 1 5 |
| 70.71 | 17 | 0 2 6 |
| 81.36 | 16 | 8 2 2 |